(1)
For DyHoNi2Ge2C, a structure optimized by DFT (GGA-PBE) gives the computed X-ray diffraction stick pattern in this record (a wavelength of 1.5418 Å).
No peak broadening, texture or thermal motion is included.

Main lines, sorted by position (15 to 90 degrees two-theta):
Position (°2θ)	I/Imax
25.02	22
33.63	35
33.72	77
34.13	44
36.48	100
39.13	38
41.06	30
46.38	31
50.50	21
64.41	29

Structural model:
```
7
Lattice="5.4631 -1.9577 0.0000 5.4631 1.9577 0.0000 -4.2581 0.0000 5.3328" Properties=species:S:1:pos:R:3 pbc="T T T"
Dy 0.0000 0.0000 0.0000
Ho 8.1621 0.0000 1.7895
Ni -1.0403 0.0000 4.6187
Ni 4.9420 0.0000 2.5012
Ge 0.7399 0.0000 2.9401
Ge 3.1663 0.0000 4.1804
C 4.0694 0.0000 0.8990
```

(2)
For DyH3C3O6, a structure optimized by DFT (GGA-PBE) gives the computed X-ray diffraction stick pattern in this record (a wavelength of 1.5418 Å).
No peak broadening, texture or thermal motion is included.

Main lines, sorted by position (15 to 90 degrees two-theta):
Position (°2θ)	I/Imax
17.16	100
24.88	31
29.96	12
30.39	30
34.73	31
35.11	38
43.20	26
46.51	13
47.69	14
50.21	19

Structural model:
```
13
Lattice="5.1659 2.9825 1.3012 -5.1659 2.9825 1.3012 0.0000 -5.9651 1.3012" Properties=species:S:1:pos:R:3 pbc="T T T"
Dy 0.0000 0.0000 0.0000
H -2.4864 -1.4355 1.8873
H 2.4864 -1.4355 1.8873
H 0.0000 2.8711 1.8873
C 0.0000 -2.7567 2.1394
C -2.3874 1.3784 2.1394
C 2.3874 1.3784 2.1394
O 0.0000 -3.6151 1.2152
O -3.1308 1.8076 1.2152
O 0.0000 -1.4959 1.9377
O -1.2955 0.7479 1.9377
O 1.2955 0.7479 1.9377
O 3.1308 1.8076 1.2152
```

(3)
For DyHfPbC, a structure optimized by DFT (GGA-PBE) gives the computed X-ray diffraction stick pattern in this record (a wavelength of 1.5418 Å).
No peak broadening, texture or thermal motion is included.

Main lines, sorted by position (15 to 90 degrees two-theta):
Position (°2θ)	I/Imax
29.60	23
34.42	100
34.76	19
46.28	14
52.52	22
62.09	14
64.31	17
64.53	19
85.61	6
87.59	15

Structural model:
```
8
Lattice="3.4851 0.0000 0.0000 -1.7425 3.0182 0.0000 0.0000 0.0000 15.4857" Properties=species:S:1:pos:R:3 pbc="T T T"
Dy 0.0000 2.0121 6.3948
Dy 1.7425 1.0061 9.0909
Hf 0.0000 2.0121 1.1740
Hf 1.7425 1.0061 14.3117
Pb 0.0000 2.0121 11.8354
Pb 1.7425 1.0061 3.6503
C 0.0000 0.0000 0.0000
C 0.0000 0.0000 7.7428
```